Calculated XRD peak list
Compound: PmZn9Ir2
Radiation: CuKα
Structure: a DFT-relaxed cell (PBE, Alexandria)
Peak positions follow from Bragg's law for the DFT cell and can differ from measured ones.

Crystal structure
abc: 8.238 8.238 8.238
angles: 100.30 100.30 129.98
Atoms (fractional coordinates):
Pm1 0.375 0.625 0.750
Pm2 0.625 0.375 0.250
Zn1 0.125 0.875 0.250
Zn2 0.138 0.560 0.335
Zn3 0.138 0.803 0.579
Zn4 0.197 0.276 0.335
Zn5 0.197 0.862 0.921
Zn6 0.276 0.197 0.835
Zn7 0.276 0.440 0.079
Zn8 0.440 0.276 0.579
Zn9 0.440 0.862 0.165
Zn10 0.560 0.138 0.835
Zn11 0.560 0.724 0.421
Zn12 0.724 0.560 0.921
Zn13 0.724 0.803 0.165
Zn14 0.803 0.138 0.079
Zn15 0.803 0.724 0.665
Zn16 0.862 0.197 0.421
Zn17 0.862 0.440 0.665
Zn18 0.875 0.125 0.750
Ir1 0.000 0.000 0.000
Ir2 0.000 0.000 0.500
Ir3 0.000 0.500 0.000
Ir4 0.500 0.000 0.500

Peak list (10 most intense, 15 to 90 degrees two-theta, low angle first)
15.24 deg, rel. 40; 22.75 deg, rel. 62; 33.19 deg, rel. 91; 33.96 deg, rel. 42; 37.31 deg, rel. 90; 38.12 deg, rel. 68; 39.74 deg, rel. 59; 43.43 deg, rel. 40; 44.85 deg, rel. 95; 46.47 deg, rel. 100

Calculated XRD peak list
Compound: Hg3PbF7
Radiation: CuKα
Structure: a DFT-relaxed cell (PBE, Alexandria)
Peak positions follow from Bragg's law for the DFT cell and can differ from measured ones.

Crystal structure
abc: 5.911 5.911 6.769
angles: 112.53 112.53 86.93
Atoms (fractional coordinates):
Hg1 0.000 0.000 0.000
Hg2 0.152 0.705 0.450
Hg3 0.705 0.152 0.450
Pb1 0.450 0.450 0.984
F1 0.105 0.633 0.748
F2 0.107 0.107 0.724
F3 0.332 0.839 0.251
F4 0.348 0.348 0.263
F5 0.633 0.105 0.748
F6 0.797 0.797 0.148
F7 0.839 0.332 0.251

Peak list (10 most intense, 15 to 90 degrees two-theta, low angle first)
24.43 deg, rel. 59; 26.85 deg, rel. 100; 27.57 deg, rel. 47; 30.40 deg, rel. 47; 31.12 deg, rel. 24; 42.04 deg, rel. 33; 42.47 deg, rel. 17; 44.56 deg, rel. 15; 46.00 deg, rel. 31; 49.16 deg, rel. 16